# 1
For Mg5Sb, DFT lattice parameters and positions (PBE) gives the simulated X-ray diffraction stick pattern in this record (Cu Kα).

Largest 12 diffraction maxima, sorted by position, 2θ = 10–80°:
d 5.003, 17.73°, I = 18.2; d 4.941, 17.95°, I = 51.3; d 3.516, 25.33°, I = 48.6; d 2.853, 31.36°, I = 33.9; d 2.502, 35.90°, I = 21.8; d 2.478, 36.25°, I = 100.0; d 2.232, 40.41°, I = 13.2; d 1.881, 48.39°, I = 19.7; d 1.647, 55.82°, I = 17.6; d 1.440, 64.75°, I = 17.4; d 1.376, 68.17°, I = 18.8; d 1.371, 68.40°, I = 17.3

Cell and atoms:
```
6
Lattice="5.705 0.000 0.000 -2.853 4.941 0.000 0.000 0.000 5.003" Properties=species:S:1:pos:R:3 pbc="T T T"
Mg -1.885 3.266 0.000
Mg 0.000 3.294 2.502
Mg 0.967 1.675 0.000
Mg 3.771 0.000 0.000
Mg 2.853 1.647 2.502
Sb 0.000 0.000 2.502
```


# 2
For LiB13C2, DFT lattice parameters and positions (PBE) gives the simulated X-ray diffraction stick pattern in this record (Cu Kα).

Largest 12 diffraction maxima, sorted by position, 2θ = 10–80°:
d 6.457, 13.72°, I = 34.1; d 5.414, 16.37°, I = 100.0; d 4.638, 19.14°, I = 14.2; d 3.140, 28.42°, I = 32.9; d 2.707, 33.09°, I = 10.9; d 2.600, 34.50°, I = 19.7; d 2.514, 35.71°, I = 25.6; d 2.213, 40.78°, I = 29.0; d 2.151, 42.01°, I = 18.2; d 1.805, 50.57°, I = 12.5; d 1.547, 59.79°, I = 17.0; d 1.304, 72.46°, I = 16.9

Cell and atoms:
```
32
Lattice="-2.839 5.414 4.021 2.839 -5.414 4.021 2.839 5.414 -4.021" Properties=species:S:1:pos:R:3 pbc="T T T"
Li 0.000 0.000 0.000
Li 0.000 5.414 2.976
B 0.938 1.965 -1.211
B 1.901 -3.449 2.811
B 4.299 -1.926 1.949
B 1.378 -1.926 1.949
B 2.839 -0.892 1.441
B 2.839 -1.902 2.963
B 1.907 1.969 0.245
B 3.770 1.969 0.245
B 2.839 0.892 1.441
B 0.000 0.000 2.627
B 2.839 3.515 0.108
B 4.299 1.926 1.949
B 1.378 1.926 1.949
B 1.432 3.465 1.115
B 1.407 -1.949 5.136
B 2.839 1.902 2.963
B 0.000 5.414 0.417
B 2.839 4.504 1.628
B 0.938 8.863 -1.211
B 1.901 3.449 2.811
B 0.000 1.899 4.129
B 0.000 0.911 5.649
B 1.432 7.364 1.115
B 1.407 1.949 5.136
B -0.931 3.445 4.267
B 0.931 3.445 4.267
C 2.839 3.980 -1.456
C 0.000 3.990 0.476
C 0.000 1.434 2.566
C 0.000 6.838 0.476
```


# 3
For LiHg3, DFT lattice parameters and positions (PBE) gives the simulated X-ray diffraction stick pattern in this record (Cu Kα).

Largest 12 diffraction maxima, sorted by position, 2θ = 10–80°:
d 4.139, 21.47°, I = 23.7; d 3.585, 24.84°, I = 12.6; d 2.535, 35.41°, I = 100.0; d 2.162, 41.79°, I = 13.2; d 2.070, 43.74°, I = 3.9; d 1.792, 50.95°, I = 18.1; d 1.645, 55.90°, I = 5.7; d 1.603, 57.49°, I = 5.3; d 1.463, 63.58°, I = 37.6; d 1.380, 67.94°, I = 4.3; d 1.267, 74.93°, I = 11.8; d 1.212, 79.02°, I = 4.3

Cell and atoms:
```
16
Lattice="7.169 0.000 0.000 0.000 7.169 0.000 0.000 0.000 7.169" Properties=species:S:1:pos:R:3 pbc="T T T"
Li 0.000 0.000 0.000
Li 0.000 3.585 3.585
Li 3.585 0.000 3.585
Li 3.585 3.585 0.000
Hg 0.000 0.000 3.585
Hg 0.000 3.585 0.000
Hg 1.792 1.792 1.792
Hg 1.792 1.792 5.377
Hg 1.792 5.377 1.792
Hg 1.792 5.377 5.377
Hg 3.585 0.000 0.000
Hg 3.585 3.585 3.585
Hg 5.377 1.792 1.792
Hg 5.377 1.792 5.377
Hg 5.377 5.377 1.792
Hg 5.377 5.377 5.377
```


# 4
For TmNiC2, DFT lattice parameters and positions (PBE) gives the simulated X-ray diffraction stick pattern in this record (Cu Kα).

Largest 12 diffraction maxima, sorted by position, 2θ = 10–80°:
d 3.593, 24.78°, I = 34.9; d 2.981, 29.97°, I = 22.7; d 2.509, 35.79°, I = 100.0; d 2.271, 39.69°, I = 24.5; d 2.251, 40.06°, I = 18.7; d 1.818, 50.17°, I = 18.0; d 1.796, 50.82°, I = 14.1; d 1.753, 52.18°, I = 10.6; d 1.614, 57.06°, I = 10.6; d 1.599, 57.66°, I = 14.0; d 1.344, 70.00°, I = 13.4; d 1.262, 75.31°, I = 10.5

Cell and atoms:
```
8
Lattice="3.506 0.000 0.000 0.000 4.502 0.000 0.000 0.000 5.963" Properties=species:S:1:pos:R:3 pbc="T T T"
Tm 0.000 0.000 0.000
Tm 0.000 2.251 2.981
Ni 1.753 0.000 2.319
Ni 1.753 2.251 5.301
C 1.753 0.688 4.177
C 1.753 1.563 1.196
C 1.753 2.939 1.196
C 1.753 3.814 4.177
```


# 5
For IrC, DFT lattice parameters and positions (PBE) gives the simulated X-ray diffraction stick pattern in this record (Cu Kα).

Largest 5 diffraction maxima, sorted by position, 2θ = 10–80°:
d 2.544, 35.28°, I = 100.0; d 2.203, 40.96°, I = 62.1; d 1.558, 59.31°, I = 41.7; d 1.329, 70.93°, I = 41.7; d 1.272, 74.60°, I = 14.2

Cell and atoms:
```
8
Lattice="4.407 0.000 0.000 0.000 4.407 0.000 0.000 0.000 4.407" Properties=species:S:1:pos:R:3 pbc="T T T"
Ir 0.000 0.000 0.000
Ir 0.000 2.203 2.203
Ir 2.203 0.000 2.203
Ir 2.203 2.203 0.000
C 0.000 0.000 2.203
C 0.000 2.203 0.000
C 2.203 0.000 0.000
C 2.203 2.203 2.203
```


# 6
For PrGa3Pd, DFT lattice parameters and positions (PBE) gives the simulated X-ray diffraction stick pattern in this record (Cu Kα).

Largest 12 diffraction maxima, sorted by position, 2θ = 10–80°:
d 2.755, 32.50°, I = 50.9; d 2.708, 33.08°, I = 7.6; d 2.633, 34.05°, I = 100.0; d 2.131, 42.43°, I = 51.5; d 2.014, 45.01°, I = 13.0; d 1.931, 47.06°, I = 25.8; d 1.685, 54.44°, I = 23.2; d 1.674, 54.83°, I = 7.2; d 1.549, 59.71°, I = 12.5; d 1.506, 61.56°, I = 16.7; d 1.431, 65.20°, I = 19.0; d 1.308, 72.25°, I = 21.7

Cell and atoms:
```
10
Lattice="4.261 0.000 0.000 0.000 4.261 0.000 0.000 0.000 10.832" Properties=species:S:1:pos:R:3 pbc="T T T"
Pr 0.000 0.000 0.000
Pr 2.131 2.131 5.416
Ga 0.000 0.000 4.164
Ga 0.000 0.000 6.668
Ga 0.000 2.131 2.708
Ga 2.131 0.000 8.124
Ga 2.131 2.131 1.252
Ga 2.131 2.131 9.580
Pd 0.000 2.131 8.124
Pd 2.131 0.000 2.708
```


# 7
For In, DFT lattice parameters and positions (PBE) gives the simulated X-ray diffraction stick pattern in this record (Cu Kα).

Largest 12 diffraction maxima, sorted by position, 2θ = 10–80°:
d 2.931, 30.49°, I = 9.2; d 2.764, 32.39°, I = 100.0; d 2.500, 35.92°, I = 29.9; d 2.394, 37.58°, I = 10.9; d 2.300, 39.17°, I = 18.0; d 1.692, 54.19°, I = 5.3; d 1.658, 55.41°, I = 10.9; d 1.596, 57.78°, I = 26.2; d 1.567, 58.94°, I = 6.3; d 1.540, 60.09°, I = 5.0; d 1.489, 62.35°, I = 5.4; d 1.382, 67.82°, I = 8.0

Cell and atoms:
```
29
Lattice="-5.863 5.863 5.863 5.863 -5.863 5.863 5.863 5.863 -5.863" Properties=species:S:1:pos:R:3 pbc="T T T"
In 0.000 0.000 0.000
In 3.794 3.794 -3.794
In 3.334 1.087 -1.087
In 3.334 -1.087 1.087
In 6.401 1.645 -1.645
In 3.794 -3.794 3.794
In 6.401 -1.645 1.645
In 8.392 1.087 1.087
In 1.087 3.334 -1.087
In 1.087 -1.087 3.334
In 5.325 1.645 1.645
In 4.218 4.218 -0.538
In 4.218 -0.538 4.218
In 2.069 2.069 2.069
In -1.087 3.334 1.087
In -1.087 1.087 3.334
In 1.645 6.401 -1.645
In 1.645 -1.645 6.401
In 1.645 5.325 1.645
In 1.645 1.645 5.325
In 4.776 4.776 2.529
In 4.776 2.529 4.776
In -3.794 3.794 3.794
In -1.645 6.401 1.645
In -1.645 1.645 6.401
In -0.538 4.218 4.218
In 1.087 8.392 1.087
In 1.087 1.087 8.392
In 2.529 4.776 4.776
```


# 8
For Ce2CoGe4Ru3, DFT lattice parameters and positions (PBE) gives the simulated X-ray diffraction stick pattern in this record (Cu Kα).

Largest 12 diffraction maxima, sorted by position, 2θ = 10–80°:
d 2.975, 30.04°, I = 8.0; d 2.624, 34.18°, I = 69.3; d 2.561, 35.04°, I = 100.0; d 2.103, 43.00°, I = 63.3; d 1.922, 47.31°, I = 16.1; d 1.816, 50.23°, I = 19.0; d 1.641, 56.04°, I = 33.2; d 1.487, 62.44°, I = 20.4; d 1.462, 63.67°, I = 20.8; d 1.375, 68.22°, I = 15.0; d 1.294, 73.14°, I = 7.5; d 1.286, 73.65°, I = 22.0

Cell and atoms:
```
10
Lattice="4.207 0.000 0.000 0.000 4.207 0.000 0.000 0.000 10.068" Properties=species:S:1:pos:R:3 pbc="T T T"
Ce 0.000 2.103 2.514
Ce 2.103 0.000 7.555
Co 0.000 0.000 5.034
Ge 0.000 2.103 6.233
Ge 0.000 2.103 8.838
Ge 2.103 0.000 1.230
Ge 2.103 0.000 3.835
Ru 0.000 0.000 0.000
Ru 2.103 2.103 0.000
Ru 2.103 2.103 5.034
```


# 9
For V3Cd, DFT lattice parameters and positions (PBE) gives the simulated X-ray diffraction stick pattern in this record (Cu Kα).

Largest 9 diffraction maxima, sorted by position, 2θ = 10–80°:
d 3.506, 25.41°, I = 35.3; d 2.479, 36.24°, I = 46.7; d 2.217, 40.69°, I = 48.6; d 2.024, 44.77°, I = 100.0; d 1.753, 52.18°, I = 5.1; d 1.568, 58.90°, I = 7.0; d 1.375, 68.20°, I = 9.0; d 1.325, 71.15°, I = 46.3; d 1.240, 76.92°, I = 11.5

Cell and atoms:
```
8
Lattice="4.958 0.000 0.000 0.000 4.958 0.000 0.000 0.000 4.958" Properties=species:S:1:pos:R:3 pbc="T T T"
V 0.000 1.240 2.479
V 0.000 3.719 2.479
V 1.240 2.479 0.000
V 2.479 0.000 1.240
V 2.479 0.000 3.719
V 3.719 2.479 0.000
Cd 0.000 0.000 0.000
Cd 2.479 2.479 2.479
```


# 10
For CsMgBr3O6, DFT lattice parameters and positions (PBE) gives the simulated X-ray diffraction stick pattern in this record (Cu Kα).

Largest 12 diffraction maxima, sorted by position, 2θ = 10–80°:
d 6.173, 14.35°, I = 59.6; d 5.846, 15.16°, I = 100.0; d 3.561, 25.01°, I = 55.7; d 3.365, 26.48°, I = 44.1; d 3.156, 28.28°, I = 36.1; d 3.087, 28.92°, I = 42.3; d 3.011, 29.67°, I = 26.0; d 2.929, 30.52°, I = 28.0; d 2.918, 30.64°, I = 35.9; d 2.703, 33.14°, I = 28.3; d 2.648, 33.85°, I = 25.8; d 2.528, 35.51°, I = 32.1

Cell and atoms:
```
22
Lattice="6.616 -3.515 0.000 6.616 3.515 0.000 -4.497 0.000 11.672" Properties=species:S:1:pos:R:3 pbc="T T T"
Cs 3.243 2.520 8.754
Cs 5.491 -2.520 2.918
Mg 3.308 1.757 0.000
Mg 1.059 -1.757 5.836
Br 1.059 1.757 5.836
Br 2.595 0.186 2.823
Br 0.346 -0.186 8.659
Br 3.308 -1.757 0.000
Br 8.388 0.186 3.013
Br 6.139 -0.186 8.850
O 2.028 1.247 1.543
O 0.771 0.006 5.028
O -1.478 -0.006 10.864
O 3.883 0.959 3.616
O -0.221 -1.247 7.379
O 7.100 0.959 2.220
O 1.635 -0.959 9.452
O 8.955 1.247 4.293
O 4.851 -0.959 8.057
O 10.212 0.006 0.808
O 7.963 -0.006 6.645
O 6.707 -1.247 10.129
```


# 11
For HfAsRu, DFT lattice parameters and positions (PBE) gives the simulated X-ray diffraction stick pattern in this record (Cu Kα).

Largest 12 diffraction maxima, sorted by position, 2θ = 10–80°:
d 2.859, 31.29°, I = 14.1; d 2.525, 35.55°, I = 100.0; d 2.310, 38.99°, I = 92.7; d 2.161, 41.80°, I = 47.4; d 1.960, 46.32°, I = 28.7; d 1.906, 47.72°, I = 16.4; d 1.586, 58.17°, I = 14.5; d 1.470, 63.26°, I = 26.2; d 1.452, 64.15°, I = 26.4; d 1.366, 68.69°, I = 11.0; d 1.244, 76.60°, I = 20.9; d 1.233, 77.41°, I = 12.7

Cell and atoms:
```
9
Lattice="6.602 0.000 0.000 -3.301 5.718 0.000 0.000 0.000 3.920" Properties=species:S:1:pos:R:3 pbc="T T T"
Hf -1.922 3.329 0.000
Hf 1.379 2.388 0.000
Hf 3.844 0.000 0.000
As 0.000 0.000 0.000
As 0.000 3.812 1.960
As 3.301 1.906 1.960
Ru -0.812 1.407 1.960
Ru 1.624 0.000 1.960
Ru 2.489 4.311 1.960
```


# 12
For Ba6Y2Ga4O15, DFT lattice parameters and positions (PBE) gives the simulated X-ray diffraction stick pattern in this record (Cu Kα).

Largest 12 diffraction maxima, sorted by position, 2θ = 10–80°:
d 3.108, 28.73°, I = 49.0; d 3.020, 29.58°, I = 54.5; d 2.975, 30.03°, I = 94.4; d 2.930, 30.51°, I = 100.0; d 2.166, 41.70°, I = 46.2; d 2.017, 44.94°, I = 22.7; d 1.777, 51.41°, I = 15.6; d 1.748, 52.32°, I = 14.1; d 1.735, 52.76°, I = 15.5; d 1.726, 53.06°, I = 17.3; d 1.678, 54.72°, I = 14.9; d 1.488, 62.43°, I = 12.8

Cell and atoms:
```
54
Lattice="8.071 0.000 0.000 0.000 6.041 0.000 -0.413 0.000 18.646" Properties=species:S:1:pos:R:3 pbc="T T T"
Ba -0.103 1.008 4.662
Ba -0.310 5.033 13.985
Ba -0.228 1.550 10.789
Ba -0.022 4.491 1.466
Ba 3.432 1.476 16.971
Ba 3.638 4.564 7.648
Ba 3.932 1.349 4.662
Ba 3.726 4.692 13.985
Ba 4.020 1.476 10.998
Ba 4.227 4.564 1.675
Ba 7.680 1.550 17.180
Ba 7.886 4.491 7.857
Y 1.995 1.483 1.680
Y 1.789 4.558 11.004
Y 5.869 1.483 7.643
Y 5.663 4.558 16.966
Ga 1.869 1.518 8.229
Ga 1.663 4.523 17.553
Ga 1.880 1.663 13.683
Ga 2.086 4.377 4.360
Ga 5.572 1.663 14.286
Ga 5.778 4.377 4.963
Ga 5.996 1.518 1.094
Ga 5.789 4.523 10.417
O 0.100 1.548 7.605
O -0.106 4.493 16.928
O 1.186 1.050 15.262
O 1.392 4.990 5.939
O 1.743 2.751 3.552
O 1.536 3.289 12.875
O 1.731 0.301 12.386
O 1.938 5.740 3.063
O 1.921 2.994 9.415
O 2.127 3.046 0.092
O 1.729 0.021 18.640
O 1.936 6.020 9.317
O 3.499 1.579 7.296
O 3.292 4.461 16.619
O 3.726 1.774 13.985
O 3.932 4.266 4.662
O 4.366 1.579 2.027
O 4.160 4.461 11.351
O 5.722 0.021 9.330
O 5.929 6.020 0.007
O 5.531 2.994 18.555
O 5.738 3.046 9.231
O 5.721 0.301 15.584
O 5.927 5.740 6.261
O 6.122 2.751 5.771
O 5.915 3.289 15.095
O 6.266 1.050 12.707
O 6.472 4.990 3.384
O 7.764 1.548 1.718
O 7.558 4.493 11.041
```